Computed powder XRD pattern of Sr3Hg2Bi2Au4 for Cu Kα, from the PBE geometry in Alexandria.

Top 10 peaks for 10° ≤ 2θ ≤ 80°, low angle first:
2theta, intensity
20.62, 32
24.25, 37
32.03, 77
36.11, 100
43.98, 48
49.04, 24
57.47, 15
62.39, 23
62.94, 18
64.94, 19

```
data_Sr3Hg2Bi2Au4
_symmetry_space_group_name_H-M 'P -3 m 1'
_symmetry_Int_Tables_number 164
_symmetry_space_group_name_Hall '-P 3 2"'
_cell_length_a 4.9744
_cell_length_b 4.9744
_cell_length_c 14.6828
_cell_angle_alpha 90.00
_cell_angle_beta 90.00
_cell_angle_gamma 120.00
loop_
_atom_site_label
_atom_site_fract_x
_atom_site_fract_y
_atom_site_fract_z
Sr1 0.0000 0.0000 0.0000
Sr2 0.0000 0.0000 0.2660
Hg1 0.3333 0.6667 0.1349
Bi1 0.3333 0.6667 0.5909
Au1 0.3333 0.6667 0.3810
Au2 0.3333 0.6667 0.8697
```

***

Computed powder XRD pattern of HoBiAu2O8 for Cu Kα, from the PBE geometry in Alexandria.

Top 10 peaks for 10° ≤ 2θ ≤ 80°, low angle first:
2theta, intensity
28.69, 100
32.49, 36
34.71, 20
46.62, 15
48.28, 26
55.66, 40
58.58, 15
59.41, 15
77.46, 7
77.99, 14

```
data_HoBiAu2O8
_symmetry_space_group_name_H-M 'I -4'
_symmetry_Int_Tables_number 82
_symmetry_space_group_name_Hall 'I -4'
_cell_length_a 5.5108
_cell_length_b 5.5108
_cell_length_c 10.3372
_cell_angle_alpha 90.00
_cell_angle_beta 90.00
_cell_angle_gamma 90.00
loop_
_atom_site_label
_atom_site_fract_x
_atom_site_fract_y
_atom_site_fract_z
Ho1 0.0000 0.0000 0.0000
Bi1 0.0000 0.5000 0.2500
Au1 0.0000 0.0000 0.5000
Au2 0.0000 0.5000 0.7500
O1 0.1283 0.3313 0.4580
O2 0.1428 0.8260 0.7953
```

***

Computed powder XRD pattern of Bi4AuI for Cu Kα, from the PBE geometry in Alexandria.

Top 10 peaks for 10° ≤ 2θ ≤ 80°, low angle first:
2theta, intensity
12.04, 100
29.56, 54
30.27, 50
30.47, 68
33.33, 44
35.75, 51
36.50, 48
41.31, 33
45.29, 40
58.15, 33

```
data_Bi4AuI
_symmetry_space_group_name_H-M 'C 1 2/m 1'
_symmetry_Int_Tables_number 12
_symmetry_space_group_name_Hall '-C 2y'
_cell_length_a 13.2409
_cell_length_b 9.2141
_cell_length_c 8.2609
_cell_angle_alpha 90.00
_cell_angle_beta 112.89
_cell_angle_gamma 90.00
loop_
_atom_site_label
_atom_site_fract_x
_atom_site_fract_y
_atom_site_fract_z
Bi1 0.0000 0.2005 0.0000
Bi2 0.1258 0.1839 0.5751
Bi3 0.1835 0.0000 0.2909
Au1 0.0819 0.0000 0.8150
I1 0.0705 0.5000 0.2831
```

***

Computed powder XRD pattern of BiAuI for Cu Kα, from the PBE geometry in Alexandria.

Top 10 peaks for 10° ≤ 2θ ≤ 80°, low angle first:
2theta, intensity
27.57, 67
28.29, 97
28.68, 100
31.93, 97
32.55, 67
32.89, 63
39.91, 62
41.90, 38
43.24, 52
44.04, 100

```
data_BiAuI
_symmetry_space_group_name_H-M 'P -1'
_symmetry_Int_Tables_number 2
_symmetry_space_group_name_Hall '-P 1'
_cell_length_a 4.1338
_cell_length_b 4.1497
_cell_length_c 12.5800
_cell_angle_alpha 85.96
_cell_angle_beta 88.25
_cell_angle_gamma 66.15
loop_
_atom_site_label
_atom_site_fract_x
_atom_site_fract_y
_atom_site_fract_z
Bi1 0.0347 0.4919 0.1755
Au1 0.3211 0.8331 0.9464
I1 0.3579 0.8127 0.3521
```